No. 1
This entry pairs a crystal structure of MgBrCl with its computed powder diffractogram. Radiation: Cu Kα (weighted mean of Kα1 and Kα2). Structure: a cell relaxed with GGA-PBE.

Main lines, by intensity (2θ from 10° to 90°):
d/Å, I (rel.)
3.286, 100.0
5.061, 71.2
6.571, 70.5
3.394, 68.0
3.400, 66.1
2.837, 57.8
3.619, 48.6
7.934, 46.0
2.591, 40.6
2.935, 35.9

Crystal structure
a = 3.829 Å, b = 6.774 Å, c = 7.969 Å
α = 88.78°, β = 84.67°, γ = 75.96°
Positions (direct):
Mg 0.000 0.000 0.000
Mg 0.319 0.484 0.680
Br 0.434 0.064 0.208
Br 0.489 0.102 0.755
Cl 0.164 0.640 0.946
Cl 0.822 0.550 0.518

---

No. 2
This entry pairs a crystal structure of MgSe2BrCl with its computed powder diffractogram. Radiation: Cu Kα (weighted mean of Kα1 and Kα2). Structure: a cell relaxed with GGA-PBE.

Main lines, by intensity (2θ from 10° to 90°):
d/Å, I (rel.)
3.049, 100.0
2.709, 52.2
1.844, 32.2
1.622, 28.9
2.518, 21.1
1.916, 18.2
1.525, 17.0
5.419, 16.1
1.537, 12.1
1.092, 12.0

Crystal structure
a = 5.419 Å, b = 5.419 Å, c = 5.036 Å
α = 90.00°, β = 90.00°, γ = 90.00°
Positions (direct):
Mg 0.000 0.000 0.000
Se 0.000 0.500 0.000
Se 0.500 0.000 0.000
Br 0.000 0.000 0.500
Cl 0.500 0.500 0.500

---

No. 3
This entry pairs a crystal structure of MnBr2Cl8 with its computed powder diffractogram. Radiation: Cu Kα (weighted mean of Kα1 and Kα2). Structure: a cell relaxed with GGA-PBE.

Main lines, by intensity (2θ from 10° to 90°):
d/Å, I (rel.)
3.623, 100.0
5.119, 81.5
5.238, 52.9
6.209, 52.2
3.554, 21.3
2.356, 19.4
5.181, 17.3
2.959, 16.6
2.290, 15.6
3.491, 14.8

Crystal structure
a = 7.266 Å, b = 7.313 Å, c = 8.672 Å
α = 88.44°, β = 87.84°, γ = 63.05°
Positions (direct):
Mn 0.000 0.000 0.000
Br 0.262 0.579 0.354
Br 0.738 0.421 0.646
Cl 0.041 0.955 0.263
Cl 0.157 0.668 0.960
Cl 0.399 0.991 0.079
Cl 0.456 0.267 0.450
Cl 0.544 0.733 0.550
Cl 0.601 0.009 0.921
Cl 0.843 0.332 0.040
Cl 0.959 0.045 0.737

---

No. 4
This entry pairs a crystal structure of Mn2BrCl4 with its computed powder diffractogram. Radiation: Cu Kα (weighted mean of Kα1 and Kα2). Structure: a cell relaxed with GGA-PBE.

Main lines, by intensity (2θ from 10° to 90°):
d/Å, I (rel.)
6.001, 100.0
4.123, 68.6
3.235, 67.0
2.435, 46.9
3.640, 44.9
2.224, 34.9
1.945, 33.9
3.002, 32.6
2.875, 30.9
2.340, 28.7

Crystal structure
a = 8.851 Å, b = 7.475 Å, c = 10.311 Å
α = 57.04°, β = 45.13°, γ = 77.83°
Positions (direct):
Mn 0.298 0.702 0.542
Mn 0.702 0.298 0.458
Mn 0.708 0.792 0.952
Mn 0.792 0.708 0.548
Br 0.298 0.298 0.702
Br 0.548 0.548 0.952
Cl 0.100 0.614 0.495
Cl 0.105 0.957 0.617
Cl 0.459 0.755 0.636
Cl 0.614 0.100 0.791
Cl 0.633 0.929 0.145
Cl 0.755 0.459 0.150
Cl 0.929 0.633 0.293
Cl 0.957 0.105 0.321

---

No. 5
This entry pairs a crystal structure of Mn2Tl3Br3Cl4 with its computed powder diffractogram. Radiation: Cu Kα (weighted mean of Kα1 and Kα2). Structure: a cell relaxed with GGA-PBE.

Main lines, by intensity (2θ from 10° to 90°):
d/Å, I (rel.)
2.828, 100.0
3.669, 67.2
3.650, 58.1
2.692, 46.4
2.507, 37.8
3.786, 30.5
2.167, 29.7
2.662, 29.4
1.835, 29.2
3.213, 29.1

Crystal structure
a = 13.809 Å, b = 13.809 Å, c = 13.809 Å
α = 159.08°, β = 157.51°, γ = 30.90°
Positions (direct):
Mn 0.105 0.105 0.000
Mn 0.895 0.895 0.000
Tl 0.317 0.317 0.000
Tl 0.500 0.500 0.000
Tl 0.683 0.683 0.000
Br 0.000 0.000 0.000
Br 0.403 0.903 0.500
Br 0.597 0.097 0.500
Cl 0.101 0.601 0.500
Cl 0.196 0.196 0.000
Cl 0.804 0.804 0.000
Cl 0.899 0.399 0.500

---

No. 6
This entry pairs a crystal structure of MnTl2Br3Cl with its computed powder diffractogram. Radiation: Cu Kα (weighted mean of Kα1 and Kα2). Structure: a cell relaxed with GGA-PBE.

Main lines, by intensity (2θ from 10° to 90°):
d/Å, I (rel.)
2.756, 100.0
3.649, 94.1
2.671, 45.5
1.528, 38.6
2.497, 37.6
3.729, 34.5
2.803, 32.5
1.824, 31.8
3.347, 30.3
2.223, 24.0

Crystal structure
a = 9.170 Å, b = 9.170 Å, c = 9.170 Å
α = 148.40°, β = 146.13°, γ = 47.00°
Positions (direct):
Mn 0.000 0.000 0.000
Tl 0.357 0.357 0.000
Tl 0.643 0.643 0.000
Br 0.161 0.161 0.000
Br 0.500 0.000 0.500
Br 0.839 0.839 0.000
Cl 0.000 0.500 0.500

---

No. 7
This entry pairs a crystal structure of Mn2Tl3Br2Cl5 with its computed powder diffractogram. Radiation: Cu Kα (weighted mean of Kα1 and Kα2). Structure: a cell relaxed with GGA-PBE.

Main lines, by intensity (2θ from 10° to 90°):
d/Å, I (rel.)
3.571, 100.0
2.793, 88.8
2.525, 76.1
3.682, 68.8
2.082, 30.4
2.201, 29.4
1.841, 29.0
1.504, 26.7
1.785, 26.2
4.484, 25.8

Crystal structure
a = 13.919 Å, b = 13.919 Å, c = 13.919 Å
α = 159.10°, β = 159.10°, γ = 29.73°
Positions (direct):
Mn 0.095 0.095 0.000
Mn 0.905 0.905 0.000
Tl 0.320 0.320 0.000
Tl 0.500 0.500 0.000
Tl 0.680 0.680 0.000
Br 0.195 0.195 0.000
Br 0.805 0.805 0.000
Cl 0.000 0.000 0.000
Cl 0.093 0.593 0.500
Cl 0.407 0.907 0.500
Cl 0.593 0.093 0.500
Cl 0.907 0.407 0.500

---

No. 8
This entry pairs a crystal structure of MoBr5Cl with its computed powder diffractogram. Radiation: Cu Kα (weighted mean of Kα1 and Kα2). Structure: a cell relaxed with GGA-PBE.

Main lines, by intensity (2θ from 10° to 90°):
d/Å, I (rel.)
8.646, 100.0
6.076, 61.7
6.850, 58.4
4.238, 49.7
2.654, 38.3
2.698, 37.9
3.495, 33.5
3.270, 20.9
8.262, 19.9
2.948, 19.2

Crystal structure
a = 7.372 Å, b = 9.286 Å, c = 9.325 Å
α = 107.90°, β = 96.42°, γ = 107.51°
Positions (direct):
Mo 0.000 0.000 0.000
Mo 0.000 0.500 0.000
Br 0.041 0.374 0.732
Br 0.171 0.787 0.991
Br 0.229 0.106 0.853
Br 0.235 0.186 0.244
Br 0.345 0.896 0.437
Br 0.655 0.104 0.563
Br 0.765 0.814 0.756
Br 0.771 0.894 0.147
Br 0.829 0.213 0.009
Br 0.959 0.626 0.268
Cl 0.303 0.509 0.103
Cl 0.697 0.491 0.897